No. 1
Computed powder XRD pattern
Compound: TlGe2Br4
Radiation: Cu Ka
Structure: the PBE geometry in Alexandria
Kinematic intensities with the Lorentz-polarization factor, no thermal factor.

Main lines, low angle first (2θ = 15–90°):
- 15.4°, d = 5.760 Å, rel. 40, hkl 1 0 1
- 21.3°, d = 4.174 Å, rel. 13, hkl 2 0 0
- 22.3°, d = 3.979 Å, rel. 23, hkl 0 0 2
- 26.4°, d = 3.380 Å, rel. 100, hkl 1 2 1
- 27.0°, d = 3.299 Å, rel. 28, hkl 1 1 2
- 30.3°, d = 2.951 Å, rel. 25, hkl 2 2 0
- 41.0°, d = 2.200 Å, rel. 68, hkl 3 1 2
- 41.8°, d = 2.162 Å, rel. 29, hkl 1 2 3
- 48.8°, d = 1.867 Å, rel. 16, hkl 2 4 0
- 56.3°, d = 1.634 Å, rel. 16, hkl 5 0 1

Crystal structure
abc: 8.347 8.347 7.958
angles: 90.00 90.00 90.00
Space group I4/m (No. 87)
One atom of each set of equivalent atoms:
Tl1 0.000 0.000 0.000
Ge1 0.000 0.500 0.250
Br1 0.148 0.683 0.500

No. 2
Computed powder XRD pattern
Compound: Li2Mg4Cd2Hg
Radiation: Cu Ka
Structure: the PBE geometry in Alexandria
Kinematic intensities with the Lorentz-polarization factor, no thermal factor.

Main lines, low angle first (2θ = 15–90°):
- 20.9°, d = 4.253 Å, rel. 99, hkl 1 0 0
- 21.0°, d = 4.229 Å, rel. 100, hkl 1 -1 0
- 23.4°, d = 3.799 Å, rel. 84, hkl 0 1 1
- 25.9°, d = 3.437 Å, rel. 82, hkl 0 1 -2
- 35.5°, d = 2.532 Å, rel. 66, hkl 1 1 -2
- 35.7°, d = 2.514 Å, rel. 65, hkl 1 -2 2
- 36.4°, d = 2.465 Å, rel. 62, hkl 1 1 1
- 36.6°, d = 2.452 Å, rel. 61, hkl -1 2 1
- 39.1°, d = 2.305 Å, rel. 51, hkl 0 0 3
- 47.0°, d = 1.934 Å, rel. 54, hkl 0 3 -1

Crystal structure
abc: 4.591 6.228 7.255
angles: 106.29 90.23 111.12
Space group P-1 (No. 2)
One atom of each set of equivalent atoms:
Li1 0.049 0.100 0.345
Mg1 0.152 0.307 0.001
Mg2 0.282 0.562 0.669
Cd1 0.384 0.771 0.334
Hg1 0.500 0.000 0.000

No. 3
Computed powder XRD pattern
Compound: LiGdErGe
Radiation: Cu Ka
Structure: the PBE geometry in Alexandria
Kinematic intensities with the Lorentz-polarization factor, no thermal factor.

Main lines, low angle first (2θ = 15–90°):
- 21.7°, d = 4.099 Å, rel. 8, hkl 1 1 1
- 25.1°, d = 3.550 Å, rel. 44, hkl 2 0 0
- 35.8°, d = 2.510 Å, rel. 100, hkl 2 2 0
- 44.2°, d = 2.050 Å, rel. 13, hkl 2 2 2
- 51.5°, d = 1.775 Å, rel. 18, hkl 4 0 0
- 58.1°, d = 1.588 Å, rel. 18, hkl 4 2 0
- 64.3°, d = 1.449 Å, rel. 36, hkl 4 2 2
- 75.8°, d = 1.255 Å, rel. 11, hkl 4 4 0
- 81.3°, d = 1.183 Å, rel. 9, hkl 6 0 0
- 86.7°, d = 1.123 Å, rel. 16, hkl 6 2 0

Crystal structure
abc: 7.100 7.100 7.100
angles: 90.00 90.00 90.00
Space group F-43m (No. 216)
One atom of each set of equivalent atoms:
Li1 0.000 0.000 0.000
Gd1 0.250 0.250 0.750
Er1 0.250 0.250 0.250
Ge1 0.000 0.000 0.500